For MgMn6O6F6, a crystal structure in the Materials Project, relaxed with GGA+U gives the simulated powder X-ray diffraction pattern in this record (a wavelength of 1.5418 Å).
Lines closer than 0.1° are merged.

Main lines, in order of falling intensity (15° ≤ 2θ ≤ 90°):
d_spacing	Position (°2θ)	Rel. int.	(hkl)
3.115	28.66	100	0 1 -4
2.650	33.83	97	1 -1 1
3.474	25.64	89	0 1 3
2.619	34.24	72	1 0 -3
4.160	21.36	53	0 1 2
1.678	54.71	50	1 1 -7

```
MgMn6O6F6
1.0
3.103 0.000 0.000
-0.001 5.310 0.000
-0.001 -1.007 14.656
Mg Mn O F
1 6 6 6
Direct
0.000 0.000 0.000
0.005 0.343 0.209
0.005 0.609 0.794
0.006 0.534 0.505
0.500 0.499 0.002
0.505 0.136 0.653
0.506 0.921 0.352
0.001 0.354 0.069
0.001 0.644 0.933
0.006 0.062 0.288
0.006 0.276 0.591
0.006 0.785 0.416
0.505 0.431 0.753
0.006 0.948 0.726
0.500 0.123 0.927
0.500 0.877 0.073
0.505 0.580 0.245
0.505 0.739 0.574
0.507 0.345 0.439
```